No. 1
Starting from a structure optimized by DFT (PBE), the X-ray powder pattern of Ce5ZrIr4 was computed for Cu Kα, 1.54184 Å.
Lines closer than 0.1° are merged.

The 6 most intense peaks (2θ = 10–90°), by angle:
- 2.689 Å, 33.32°, I 51
- 2.545 Å, 35.26°, I 63
- 2.417 Å, 37.20°, I 100
- 2.402 Å, 37.45°, I 84
- 2.214 Å, 40.75°, I 58
- 1.671 Å, 54.96°, I 35

Atomic structure:
Cell: 15.271 4.429 6.955 Å, 90.00 90.55 90.00°
Space group C2/m (No. 12)
Unique sites:
Ce: 0.000 0.000 0.000
Ce: 0.165 0.500 0.582
Ce: 0.190 0.500 0.045
Zr: 0.000 0.000 0.500
Ir: 0.016 0.500 0.272
Ir: 0.157 0.000 0.294

No. 2
Starting from a structure optimized by DFT (PBE), the X-ray powder pattern of Ce5ZrIr5 was computed for Cu Kα, 1.54184 Å.
Lines closer than 0.1° are merged.

The 6 most intense peaks (2θ = 10–90°), by angle:
- 2.840 Å, 31.50°, I 93
- 2.822 Å, 31.71°, I 92
- 2.805 Å, 31.91°, I 92
- 1.996 Å, 45.45°, I 68
- 1.990 Å, 45.58°, I 100
- 1.635 Å, 56.26°, I 39

Atomic structure:
Cell: 12.633 5.610 8.050 Å, 90.00 108.95 90.00°
Space group C2/m (No. 12)
Unique sites:
Ce: 0.000 0.000 0.000
Ce: 0.169 0.500 0.341
Ce: 0.174 0.500 0.829
Zr: 0.000 0.000 0.500
Ir: 0.000 0.500 0.500
Ir: 0.155 0.000 0.329
Ir: 0.163 0.000 0.829

No. 3
Starting from a structure optimized by DFT (PBE), the X-ray powder pattern of K2LiCeO4 was computed for Cu Kα, 1.54184 Å.
Lines closer than 0.1° are merged.

The 6 most intense peaks (2θ = 10–90°), by angle:
- 5.880 Å, 15.07°, I 100
- 4.800 Å, 18.49°, I 44
- 2.940 Å, 30.41°, I 50
- 2.611 Å, 34.34°, I 42
- 2.574 Å, 34.86°, I 40
- 2.400 Å, 37.47°, I 36

Atomic structure:
Cell: 10.298 9.599 7.231 Å, 90.00 133.76 90.00°
Space group C2/c (No. 15)
Unique sites:
K: 0.000 0.000 0.000
K: 0.250 0.250 0.000
Li: 0.250 0.250 0.500
Ce: 0.000 0.500 0.000
O: 0.005 0.283 0.491
O: 0.202 0.482 0.450

No. 4
Starting from a structure optimized by DFT (PBE), the X-ray powder pattern of K2Ce2MnS6 was computed for Cu Kα, 1.54184 Å.
Lines closer than 0.1° are merged.

The 6 most intense peaks (2θ = 10–90°), by angle:
- 7.488 Å, 11.82°, I 100
- 3.403 Å, 26.19°, I 22
- 2.940 Å, 30.40°, I 71
- 2.924 Å, 30.57°, I 34
- 2.173 Å, 41.55°, I 22
- 1.988 Å, 45.64°, I 34

Atomic structure:
Cell: 6.876 11.941 7.818 Å, 90.00 106.70 90.00°
Space group C2/m (No. 12)
Unique sites:
K: 0.000 0.165 0.000
Ce: 0.000 0.334 0.500
Mn: 0.000 0.000 0.500
S: 0.224 0.163 0.693
S: 0.249 0.000 0.313

No. 5
Starting from a structure optimized by DFT (PBE), the X-ray powder pattern of K2CeMoN4 was computed for Cu Kα, 1.54184 Å.
Lines closer than 0.1° are merged.

The 6 most intense peaks (2θ = 10–90°), by angle:
- 7.615 Å, 11.62°, I 43
- 4.684 Å, 18.95°, I 32
- 3.207 Å, 27.82°, I 100
- 2.971 Å, 30.08°, I 34
- 2.824 Å, 31.69°, I 47
- 2.180 Å, 41.42°, I 20

Atomic structure:
Cell: 7.079 7.615 5.941 Å, 90.00 90.00 90.00°
Space group Pmn2_1 (No. 31)
Unique sites:
K: 0.244 0.149 0.000
Ce: 0.000 0.379 0.481
Mo: 0.000 0.658 0.969
N: 0.000 0.436 0.104
N: 0.000 0.626 0.658
N: 0.229 0.778 0.036

No. 6
Starting from a structure optimized by DFT (PBE), the X-ray powder pattern of K5NaCe2S6O24 was computed for Cu Kα, 1.54184 Å.
Lines closer than 0.1° are merged.

The 6 most intense peaks (2θ = 10–90°), by angle:
- 7.740 Å, 11.43°, I 38
- 7.361 Å, 12.02°, I 54
- 6.433 Å, 13.77°, I 38
- 3.196 Å, 27.92°, I 100
- 3.066 Å, 29.13°, I 30
- 2.714 Å, 33.00°, I 30

Atomic structure:
Cell: 9.370 16.508 7.871 Å, 90.00 110.74 90.00°
Space group C2/m (No. 12)
Unique sites:
K: 0.000 0.000 0.000
K: 0.226 0.346 0.622
Na: 0.000 0.000 0.500
Ce: 0.000 0.357 0.000
S: 0.096 0.500 0.304
S: 0.129 0.165 0.820
O: 0.001 0.425 0.291
O: 0.020 0.102 0.721
O: 0.041 0.241 0.819
O: 0.141 0.500 0.138
O: 0.217 0.138 0.010
O: 0.229 0.500 0.474
O: 0.246 0.182 0.734

No. 7
Starting from a structure optimized by DFT (PBE), the X-ray powder pattern of K2CeNb5O15 was computed for Cu Kα, 1.54184 Å.
Lines closer than 0.1° are merged.

The 6 most intense peaks (2θ = 10–90°), by angle:
- 6.389 Å, 13.86°, I 38
- 3.544 Å, 25.13°, I 46
- 3.099 Å, 28.81°, I 54
- 2.857 Å, 31.31°, I 49
- 2.832 Å, 31.60°, I 100
- 1.645 Å, 55.90°, I 49

Atomic structure:
Cell: 12.778 12.778 3.969 Å, 90.00 90.00 90.00°
Space group P4/mbm (No. 127)
Unique sites:
K: 0.169 0.331 0.000
Ce: 0.000 0.000 0.000
Nb: 0.000 0.500 0.500
Nb: 0.077 0.787 0.500
O: 0.000 0.500 0.000
O: 0.001 0.342 0.500
O: 0.060 0.131 0.500
O: 0.077 0.810 0.000
O: 0.217 0.717 0.500

No. 8
Starting from a structure optimized by DFT (PBE), the X-ray powder pattern of KCeNb4O12 was computed for Cu Kα, 1.54184 Å.
Lines closer than 0.1° are merged.

The 6 most intense peaks (2θ = 10–90°), by angle:
- 4.618 Å, 19.22°, I 48
- 3.966 Å, 22.42°, I 36
- 2.840 Å, 31.50°, I 100
- 2.804 Å, 31.91°, I 51
- 1.647 Å, 55.82°, I 22
- 1.624 Å, 56.66°, I 21

Atomic structure:
Cell: 7.918 7.946 8.140 Å, 90.00 90.00 90.00°
Space group Amm2 (No. 38)
Unique sites:
K: 0.000 0.000 0.000
Ce: 0.500 0.000 0.472
Nb: 0.248 0.249 0.735
O: 0.000 0.225 0.753
O: 0.237 0.000 0.278
O: 0.264 0.237 0.005
O: 0.297 0.000 0.722
O: 0.500 0.214 0.273

No. 9
Starting from a structure optimized by DFT (PBE), the X-ray powder pattern of KCeNbO5 was computed for Cu Kα, 1.54184 Å.
Lines closer than 0.1° are merged.

The 6 most intense peaks (2θ = 10–90°), by angle:
- 5.836 Å, 15.18°, I 54
- 3.750 Å, 23.73°, I 100
- 3.548 Å, 25.10°, I 79
- 3.081 Å, 28.98°, I 94
- 3.008 Å, 29.70°, I 60
- 1.945 Å, 46.69°, I 29

Atomic structure:
Cell: 7.763 10.259 8.124 Å, 90.00 113.91 90.00°
Space group C2/c (No. 15)
Unique sites:
K: 0.000 0.174 0.250
Ce: 0.000 0.500 0.000
Nb: 0.000 0.183 0.750
O: 0.000 0.438 0.250
O: 0.091 0.289 0.613
O: 0.189 0.072 0.903

No. 10
Starting from a structure optimized by DFT (PBE), the X-ray powder pattern of KCeNbSnO6 was computed for Cu Kα, 1.54184 Å.
Lines closer than 0.1° are merged.

The 6 most intense peaks (2θ = 10–90°), by angle:
- 3.005 Å, 29.73°, I 100
- 2.128 Å, 42.49°, I 23
- 1.736 Å, 52.73°, I 27
- 1.732 Å, 52.85°, I 13
- 1.501 Å, 61.80°, I 14
- 1.136 Å, 85.44°, I 14

Atomic structure:
Cell: 6.018 6.018 8.474 Å, 90.00 90.00 90.00°
Space group P4_2/mmc (No. 131)
Unique sites:
K: 0.000 0.000 0.250
Ce: 0.000 0.500 0.000
Nb: 0.000 0.500 0.500
Sn: 0.500 0.500 0.250
O: 0.000 0.500 0.263
O: 0.246 0.271 0.500

No. 11
Starting from a structure optimized by DFT (PBE), the X-ray powder pattern of KCeNbSnO6 was computed for Cu Kα, 1.54184 Å.
Lines closer than 0.1° are merged.

The 6 most intense peaks (2θ = 10–90°), by angle:
- 3.004 Å, 29.74°, I 100
- 2.124 Å, 42.56°, I 34
- 1.735 Å, 52.78°, I 40
- 1.502 Å, 61.75°, I 21
- 1.344 Å, 70.03°, I 18
- 1.136 Å, 85.52°, I 22

Atomic structure:
Cell: 8.498 8.498 8.498 Å, 90.00 90.00 90.00°
Space group F-43m (No. 216)
Unique sites:
K: 0.000 0.000 0.000
Ce: 0.250 0.250 0.750
Nb: 0.250 0.250 0.250
Sn: 0.000 0.000 0.500
O: 0.013 0.250 0.250